Structure and computed XRD peak list of Hf7As4 (a PBE-relaxed structure; Cu Kα).
Peak positions follow from Bragg's law for the DFT cell and can differ from measured ones.

Most intense lines, 10° ≤ 2θ ≤ 90°, in order of rising 2θ:
Position (°2θ)	Rel. int.
31.6	43.3
33.1	70.8
34.5	79.0
36.6	82.8
37.1	77.8
37.7	100.0
37.7	59.9
38.0	80.2
40.3	42.9
50.8	61.0

Structure:
```
Hf7As4
1.0
8.1051 -1.7987 0.0000
8.1051 1.7987 0.0000
-3.6886 0.0000 14.5456
Hf As
14 8
Cartesian
0.0000 0.0000 0.0000
-2.4387 0.0000 9.7028
0.9044 0.0000 7.8936
2.0675 0.0000 4.4993
0.4056 0.0000 11.5953
5.3391 0.0000 0.4605
3.8973 0.0000 12.0712
6.2607 0.0000 7.2728
8.6242 0.0000 2.4744
7.1824 0.0000 14.0851
12.1159 0.0000 2.9503
10.4540 0.0000 10.0463
11.6170 0.0000 6.6520
14.9602 0.0000 4.8427
-2.1196 0.0000 12.3677
2.4671 0.0000 1.5857
4.7780 0.0000 4.9228
3.8429 0.0000 8.7246
8.6786 0.0000 5.8210
7.7435 0.0000 9.6227
10.0543 0.0000 12.9599
14.6411 0.0000 2.1778
```